Entry 1:
# RbMn2BiI8
Computed powder diffraction line list, Cu Kα (weighted mean of Kα1 and Kα2). Input: the PBE geometry in Alexandria.
Intensities are scaled so that the largest is 100.

Principal peaks in the range 2θ = 15–90°, in order of falling intensity:
d [Å], 2θ/deg, I_rel
3.118, 28.63, 100
3.566, 24.97, 86
2.237, 40.32, 55
2.173, 41.55, 52
3.709, 23.99, 30
1.411, 66.24, 25
1.875, 48.55, 25
5.138, 17.26, 21
4.664, 19.03, 20
1.783, 51.24, 19

Structure:
Lattice parameters (Å, degrees): 7.5283 7.5283 33.3798 90.00 90.00 120.00
Space group R-3 (No. 148, hexagonal axes)
One atom of each set of equivalent atoms:
Rb1 0.0000 0.0000 0.0000 [3 per cell]
Mn1 0.0000 0.0000 0.2467 [6 per cell]
Bi1 0.0000 0.0000 0.5000 [3 per cell]
I1 0.0000 0.0000 0.3251 [6 per cell]
I2 0.0064 0.6823 0.1115 [18 per cell]

Entry 2:
# BiMo2I2
Computed powder diffraction line list, Cu Kα (weighted mean of Kα1 and Kα2). Input: the PBE geometry in Alexandria.
Intensities are scaled so that the largest is 100.

Principal peaks in the range 2θ = 15–90°, in order of falling intensity:
d [Å], 2θ/deg, I_rel
2.932, 30.49, 100
2.447, 36.73, 38
1.490, 62.32, 23
2.009, 45.12, 16
1.553, 59.53, 14
1.730, 52.92, 13
1.880, 48.42, 12
1.829, 49.85, 7
1.129, 86.12, 7
1.094, 89.58, 6

Structure:
Lattice parameters (Å, degrees): 4.894 4.894 11.018 90.00 90.00 90.00
Space group I4/mmm (No. 139)
One atom of each set of equivalent atoms:
Bi1 0.000 0.000 0.000 [2 per cell]
Mo1 0.000 0.000 0.400 [4 per cell]
I1 0.000 0.500 0.250 [4 per cell]

Entry 3:
# BiMoIN2
Computed powder diffraction line list, Cu Kα (weighted mean of Kα1 and Kα2). Input: the PBE geometry in Alexandria.
Intensities are scaled so that the largest is 100.

Principal peaks in the range 2θ = 15–90°, in order of falling intensity:
d [Å], 2θ/deg, I_rel
2.953, 30.27, 100
2.021, 44.85, 70
2.606, 34.41, 60
5.543, 15.99, 56
2.772, 32.30, 55
3.335, 26.73, 54
2.088, 43.34, 48
1.668, 55.07, 47
1.192, 80.59, 27
1.303, 72.55, 21

Structure:
Lattice parameters (Å, degrees): 4.176 4.176 5.543 90.00 90.00 90.00
Space group P4/mmm (No. 123)
One atom of each set of equivalent atoms:
Bi1 0.000 0.000 0.000 [1 per cell]
Mo1 0.500 0.500 0.500 [1 per cell]
I1 0.500 0.500 0.000 [1 per cell]
N1 0.000 0.500 0.500 [2 per cell]

Entry 4:
# SiBiIN2
Computed powder diffraction line list, Cu Kα (weighted mean of Kα1 and Kα2). Input: the PBE geometry in Alexandria.
Intensities are scaled so that the largest is 100.

Principal peaks in the range 2θ = 15–90°, in order of falling intensity:
d [Å], 2θ/deg, I_rel
5.225, 16.97, 100
2.526, 35.54, 99
2.885, 31.00, 72
1.937, 46.92, 47
2.613, 34.32, 38
2.040, 44.41, 36
1.608, 57.30, 34
1.900, 47.87, 31
1.253, 75.97, 22
3.216, 27.74, 21

Structure:
Lattice parameters (Å, degrees): 4.080 4.080 5.225 90.00 90.00 90.00
Space group P4/mmm (No. 123)
One atom of each set of equivalent atoms:
Si1 0.000 0.000 0.000 [1 per cell]
Bi1 0.500 0.500 0.500 [1 per cell]
I1 0.000 0.000 0.500 [1 per cell]
N1 0.000 0.500 0.000 [2 per cell]

Entry 5:
# RbNa2BiI6
Computed powder diffraction line list, Cu Kα (weighted mean of Kα1 and Kα2). Input: the PBE geometry in Alexandria.
Intensities are scaled so that the largest is 100.

Principal peaks in the range 2θ = 15–90°, in order of falling intensity:
d [Å], 2θ/deg, I_rel
3.638, 24.47, 100
2.795, 32.02, 60
2.396, 37.53, 37
2.154, 41.93, 27
4.453, 19.94, 17
3.427, 26.00, 16
1.449, 64.29, 15
2.450, 36.67, 15
2.641, 33.94, 14
1.963, 46.25, 14

Structure:
Lattice parameters (Å, degrees): 8.3012 8.3012 22.6847 90.00 90.00 120.00
Space group R3 (No. 146, hexagonal axes)
One atom of each set of equivalent atoms:
Rb1 0.0000 0.0000 0.0000 [3 per cell]
Na1 0.0000 0.0000 0.2876 [3 per cell]
Na2 0.0000 0.0000 0.8072 [3 per cell]
Bi1 0.0000 0.0000 0.4779 [3 per cell]
I1 0.0045 0.3261 0.5512 [9 per cell]
I2 0.0176 0.6048 0.0587 [9 per cell]

Entry 6:
# Nd6BiI8
Computed powder diffraction line list, Cu Kα (weighted mean of Kα1 and Kα2). Input: the PBE geometry in Alexandria.
Intensities are scaled so that the largest is 100.

Principal peaks in the range 2θ = 15–90°, in order of falling intensity:
d [Å], 2θ/deg, I_rel
3.228, 27.63, 100
2.250, 40.07, 36
2.317, 38.87, 36
1.846, 49.37, 20
1.427, 65.39, 17
1.461, 63.70, 16
1.312, 72.00, 12
1.614, 57.06, 12
2.736, 32.73, 12
3.692, 24.11, 9

Structure:
Lattice parameters (Å, degrees): 7.7944 7.7944 34.5785 90.00 90.00 120.00
Space group R-3 (No. 148, hexagonal axes)
One atom of each set of equivalent atoms:
Nd1 0.9998 0.3379 0.4500 [18 per cell]
Bi1 0.0000 0.0000 0.5000 [3 per cell]
I1 0.0000 0.0000 0.1667 [6 per cell]
I2 0.9999 0.3287 0.6072 [18 per cell]

Entry 7:
# Nd3BiI7
Computed powder diffraction line list, Cu Kα (weighted mean of Kα1 and Kα2). Input: the PBE geometry in Alexandria.
Intensities are scaled so that the largest is 100.

Principal peaks in the range 2θ = 15–90°, in order of falling intensity:
d [Å], 2θ/deg, I_rel
3.500, 25.45, 100
2.677, 33.47, 44
2.313, 38.94, 37
2.058, 43.99, 24
1.929, 47.10, 18
1.482, 62.71, 15
1.420, 65.75, 14
1.750, 52.27, 12
1.396, 67.07, 11
1.280, 74.04, 10

Structure:
Lattice parameters (Å, degrees): 9.2505 9.2505 7.1981 90.00 90.00 120.00
Space group P3m1 (No. 156)
One atom of each set of equivalent atoms:
Nd1 0.0048 0.5024 0.0000 [3 per cell]
Bi1 0.3333 0.6667 0.2498 [1 per cell]
I1 0.1760 0.3520 0.7460 [3 per cell]
I2 0.3422 0.1711 0.2321 [3 per cell]
I3 0.6667 0.3333 0.7411 [1 per cell]

Entry 8:
# NdBiI
Computed powder diffraction line list, Cu Kα (weighted mean of Kα1 and Kα2). Input: the PBE geometry in Alexandria.
Intensities are scaled so that the largest is 100.

Principal peaks in the range 2θ = 15–90°, in order of falling intensity:
d [Å], 2θ/deg, I_rel
2.974, 30.05, 100
3.796, 23.44, 92
3.395, 26.25, 86
2.242, 40.22, 61
2.231, 40.42, 50
1.897, 47.95, 38
2.564, 35.00, 31
2.288, 39.38, 29
1.472, 63.17, 27
1.707, 53.68, 15

Structure:
Lattice parameters (Å, degrees): 7.814 4.576 7.825 90.00 119.66 90.00
Space group P2/m (No. 10)
One atom of each set of equivalent atoms:
Nd1 0.000 0.000 0.000 [1 per cell]
Nd2 0.500 0.500 0.500 [1 per cell]
Bi1 0.016 0.500 0.306 [2 per cell]
I1 0.476 0.000 0.215 [2 per cell]

Entry 9:
# Ni8Bi8SI2
Computed powder diffraction line list, Cu Kα (weighted mean of Kα1 and Kα2). Input: the PBE geometry in Alexandria.
Intensities are scaled so that the largest is 100.

Principal peaks in the range 2θ = 15–90°, in order of falling intensity:
d [Å], 2θ/deg, I_rel
3.092, 28.87, 100
2.898, 30.86, 68
2.097, 43.14, 39
3.052, 29.26, 32
2.120, 42.66, 30
1.679, 54.67, 29
2.084, 43.43, 28
3.419, 26.06, 27
2.981, 29.97, 22
1.647, 55.81, 22

Structure:
Lattice parameters (Å, degrees): 10.084 21.844 4.194 90.00 90.00 90.00
Space group P2_12_12 (No. 18)
One atom of each set of equivalent atoms:
Ni1 0.061 0.087 0.252 [4 per cell]
Ni2 0.088 0.916 0.752 [4 per cell]
Ni3 0.174 0.041 0.754 [4 per cell]
Ni4 0.185 0.971 0.251 [4 per cell]
Bi1 0.118 0.164 0.753 [4 per cell]
Bi2 0.149 0.447 0.248 [4 per cell]
Bi3 0.168 0.846 0.250 [4 per cell]
Bi4 0.171 0.578 0.748 [4 per cell]
S1 0.000 0.000 0.504 [2 per cell]
I1 0.006 0.295 0.242 [4 per cell]

Entry 10:
# Bi3IO7
Computed powder diffraction line list, Cu Kα (weighted mean of Kα1 and Kα2). Input: the PBE geometry in Alexandria.
Intensities are scaled so that the largest is 100.

Principal peaks in the range 2θ = 15–90°, in order of falling intensity:
d [Å], 2θ/deg, I_rel
3.208, 27.81, 100
3.272, 27.26, 98
1.976, 45.92, 56
2.826, 31.66, 49
1.687, 54.38, 29
2.764, 32.39, 25
1.715, 53.43, 22
1.277, 74.26, 18
1.969, 46.11, 18
1.678, 54.70, 16

Structure:
Lattice parameters (Å, degrees): 8.117 11.057 7.876 90.00 90.00 90.00
Space group C222_1 (No. 20)
One atom of each set of equivalent atoms:
Bi1 0.046 0.000 0.000 [4 per cell]
Bi2 0.236 0.259 0.757 [8 per cell]
I1 0.007 0.500 0.000 [4 per cell]
O1 0.000 0.129 0.250 [4 per cell]
O2 0.000 0.145 0.750 [4 per cell]
O3 0.000 0.434 0.750 [4 per cell]
O4 0.172 0.375 0.045 [8 per cell]
O5 0.218 0.376 0.466 [8 per cell]

Entry 11:
# BiIO4
Computed powder diffraction line list, Cu Kα (weighted mean of Kα1 and Kα2). Input: the PBE geometry in Alexandria.
Intensities are scaled so that the largest is 100.

Principal peaks in the range 2θ = 15–90°, in order of falling intensity:
d [Å], 2θ/deg, I_rel
3.292, 27.09, 100
1.735, 52.76, 16
2.029, 44.66, 15
1.719, 53.28, 15
2.887, 30.97, 15
2.852, 31.37, 14
2.015, 44.98, 13
2.003, 45.27, 13
1.703, 53.83, 13
2.814, 31.79, 12

Structure:
Lattice parameters (Å, degrees): 5.703 11.258 5.775 90.00 90.00 90.00
Space group Pca2_1 (No. 29)
One atom of each set of equivalent atoms:
Bi1 0.018 0.109 0.000 [4 per cell]
I1 0.003 0.366 0.524 [4 per cell]
O1 0.123 0.219 0.619 [4 per cell]
O2 0.153 0.705 0.777 [4 per cell]
O3 0.241 0.999 0.262 [4 per cell]
O4 0.246 0.433 0.868 [4 per cell]

Entry 12:
# Bi2IO6
Computed powder diffraction line list, Cu Kα (weighted mean of Kα1 and Kα2). Input: the PBE geometry in Alexandria.
Intensities are scaled so that the largest is 100.

Principal peaks in the range 2θ = 15–90°, in order of falling intensity:
d [Å], 2θ/deg, I_rel
3.080, 28.99, 100
5.077, 17.47, 53
4.171, 21.30, 35
2.017, 44.93, 27
3.054, 29.25, 24
1.768, 51.70, 24
2.085, 43.39, 24
2.855, 31.34, 23
1.688, 54.34, 20
2.687, 33.34, 20

Structure:
Lattice parameters (Å, degrees): 5.709 6.107 10.764 90.00 121.92 90.00
Space group P2_1/c (No. 14)
One atom of each set of equivalent atoms:
Bi1 0.209 0.001 0.209 [4 per cell]
I1 0.500 0.000 0.000 [2 per cell]
O1 0.189 0.160 0.000 [4 per cell]
O2 0.203 0.693 0.343 [4 per cell]
O3 0.482 0.191 0.842 [4 per cell]